1.
Computed powder XRD pattern of Li2Mg3Cd2 for Cu Kα X-rays, from a DFT-relaxed cell (PBE, Alexandria).

The 10 most intense peaks (10° ≤ 2θ ≤ 90°), in order of rising 2θ:
(hkl), two_theta, d [Å], Rel. int.
0 0 1, 14.0, 6.314, 60
1 1 0, 21.3, 4.172, 41
2 0 -1, 22.4, 3.973, 18
1 1 1, 25.8, 3.455, 27
0 0 2, 28.3, 3.157, 13
1 1 2, 36.0, 2.497, 100
0 2 0, 39.2, 2.300, 20
4 0 1, 39.6, 2.275, 19
1 3 2, 68.9, 1.363, 14
5 1 3, 69.5, 1.352, 15

Crystal structure
Unit cell a=9.9110 b=4.6000 c=6.3184 alpha=90.00 beta=92.25 gamma=90.00
Space group C2/m (No. 12)
Symmetry-distinct sites (fractional):
1 Li 0.0821 0.0000 0.1987
2 Mg 0.0000 0.5000 0.5000
3 Mg 0.2023 0.0000 0.6481
4 Cd 0.1411 0.5000 0.9359

2.
Computed powder XRD pattern of Mn8Re3Mo for Cu Kα X-rays, from a DFT-relaxed cell (PBE, Alexandria).

The 10 most intense peaks (10° ≤ 2θ ≤ 90°), in order of rising 2θ:
(hkl), two_theta, d [Å], Rel. int.
1 0 0, 22.0, 4.044, 21
1 0 1, 24.9, 3.579, 20
1 1 0, 38.6, 2.335, 64
1 0 3, 41.7, 2.164, 100
1 1 2, 45.5, 1.995, 80
0 2 1, 46.4, 1.955, 48
2 1 3, 71.9, 1.312, 36
0 3 2, 74.6, 1.272, 18
2 0 5, 78.1, 1.224, 22
2 2 0, 82.7, 1.167, 18

Crystal structure
Unit cell a=4.6693 b=4.6693 c=7.6847 alpha=90.00 beta=90.00 gamma=120.00
Space group P3m1 (No. 156)
Symmetry-distinct sites (fractional):
1 Mn 0.0000 0.0000 0.0000
2 Mn 0.0000 0.0000 0.4994
3 Mn 0.1732 0.3464 0.2504
4 Mn 0.3458 0.1729 0.7488
5 Re 0.3333 0.6667 0.5669
6 Re 0.3333 0.6667 0.9302
7 Re 0.6667 0.3333 0.4337
8 Mo 0.6667 0.3333 0.0653